Theoretical X-ray powder pattern of Y2ThSc8 for λ = 1.5418 Å (Cu Kα), from a DFT-relaxed cell (PBE, Alexandria).

Lattice parameters (Å, degrees): 5.4423 6.8652 16.0919 90.00 90.00 90.00
Space group Immm (No. 71)
Unique sites:
Y: 0.0000 0.0000 0.1904 [4 per cell]
Th: 0.0000 0.5000 0.0000 [2 per cell]
Sc: 0.0000 0.2208 0.3732 [8 per cell]
Sc: 0.0000 0.5000 0.2022 [4 per cell]
Sc: 0.2427 0.0000 0.0000 [4 per cell]

The 10 most intense peaks (10° ≤ 2θ ≤ 90°), in order of rising 2θ:
- (1 0 1), 2θ 17.20, I = 39
- (1 1 2), 2θ 23.61, I = 81
- (0 2 0), 2θ 25.96, I = 37
- (1 1 4), 2θ 30.55, I = 41
- (1 2 1), 2θ 31.31, I = 100
- (1 0 5), 2θ 32.32, I = 89
- (2 0 0), 2θ 32.92, I = 39
- (0 2 4), 2θ 34.34, I = 56
- (2 1 3), 2θ 39.38, I = 41
- (1 2 5), 2θ 41.91, I = 34